Sc4CoRu: simulated powder diffractogram (Cu Kα X-rays), based on a crystal structure in Alexandria, relaxed with GGA-PBE.

Largest 12 diffraction maxima, by angle, 10 to 90 degrees two-theta:
- 24.60 deg, I 61
- 40.72 deg, I 100
- 48.14 deg, I 24
- 48.24 deg, I 5
- 58.90 deg, I 10
- 59.05 deg, I 5
- 64.82 deg, I 7
- 64.92 deg, I 4
- 74.08 deg, I 20
- 74.19 deg, I 10
- 79.40 deg, I 5
- 88.11 deg, I 5

Structural model:
Cell: 4.4348 4.4348 6.2578 Å, 90.08 90.08 90.00°
Element x y z (fractional)
Sc: 0.0005 0.5002 0.7538
Sc: 0.5002 0.0005 0.7538
Sc: 0.4998 0.9995 0.2462
Sc: 0.9995 0.4998 0.2462
Co: 0.0000 0.0000 0.0000
Ru: 0.5000 0.5000 0.5000